1.
Computed XRD peak list of LiFe2B2O6 for CuKα, from DFT lattice parameters and positions (GGA+U).
Kinematic intensities with the Lorentz-polarization factor, no thermal factor.

Structure:
a = 5.2760 Å, b = 9.0477 Å, c = 10.1743 Å
α = 90.11°, β = 91.06°, γ = 90.41°
Fractional coordinates of all 44 atoms:
Li  0.0000  0.0000  0.0000
Li  0.0375  0.0112  0.4916
Li  0.5318  0.5140  0.5050
Li  0.6802  0.3507  0.7832
Fe  0.0254  0.3440  0.0297
Fe  0.0333  0.6840  0.5373
Fe  0.1658  0.5191  0.2840
Fe  0.1751  0.1708  0.7751
Fe  0.4930  0.8304  0.0303
Fe  0.5306  0.1814  0.5313
Fe  0.6641  0.0144  0.2796
Fe  0.6698  0.6896  0.7812
B  0.0183  0.3437  0.5328
B  0.1743  0.5134  0.7833
B  0.1757  0.1829  0.2815
B  0.5211  0.8483  0.5313
B  0.5249  0.1754  0.0316
B  0.6734  0.0160  0.7883
B  0.6756  0.6818  0.2899
B  0.9926  0.6803  0.0311
O  0.0115  0.0685  0.3014
O  0.0177  0.6249  0.7391
O  0.0588  0.3843  0.8330
O  0.0881  0.3160  0.2277
O  0.0964  0.5488  0.0843
O  0.1256  0.8080  0.0381
O  0.1422  0.2127  0.5645
O  0.1613  0.4641  0.4856
O  0.2624  0.1756  0.0063
O  0.2655  0.8554  0.5290
O  0.4281  0.1707  0.3195
O  0.4336  0.5210  0.7735
O  0.5128  0.5660  0.3122
O  0.5366  0.8858  0.8153
O  0.5485  0.1411  0.7410
O  0.5911  0.8114  0.2344
O  0.6351  0.0454  0.0798
O  0.6482  0.7219  0.5782
O  0.6686  0.9673  0.4844
O  0.6754  0.2951  0.0041
O  0.7509  0.6725  0.9744
O  0.7620  0.3570  0.5509
O  0.9266  0.0184  0.8129
O  0.9280  0.6690  0.3292

Principal peaks in the range 2θ from 5° to 70°, in order of rising 2θ:
hkl 1 1 0, 19.6°, I 100.0
hkl 1 1 -1, 21.3°, I 40.4
hkl 0 2 -1, 21.5°, I 97.1
hkl -1 1 2, 26.0°, I 33.9
hkl 0 2 -2, 26.3°, I 26.2
hkl 0 2 2, 26.4°, I 63.6
hkl 2 0 0, 34.0°, I 39.3
hkl 1 -3 0, 34.1°, I 28.7
hkl 1 3 0, 34.4°, I 32.4
hkl 0 0 4, 35.3°, I 99.1
hkl -2 2 1, 40.3°, I 28.8
hkl 0 4 1, 40.9°, I 38.0

=====

2.
Computed XRD peak list of LiFe2B2O6 for CuKα, from DFT lattice parameters and positions (GGA+U).
Kinematic intensities with the Lorentz-polarization factor, no thermal factor.

Structure:
a = 5.2467 Å, b = 9.1135 Å, c = 11.3348 Å
α = 67.18°, β = 76.91°, γ = 89.36°
Fractional coordinates of all 44 atoms:
Li  0.0000  0.0000  0.0000
Li  0.0108  0.0275  0.2607
Li  0.3101  0.2910  0.7285
Li  0.4969  0.5030  0.9952
Fe  0.0200  0.3392  0.9771
Fe  0.0332  0.7033  0.2288
Fe  0.2716  0.9313  0.4748
Fe  0.2944  0.6339  0.7242
Fe  0.5144  0.8455  0.9746
Fe  0.5315  0.2267  0.2283
Fe  0.7667  0.4247  0.4698
Fe  0.8171  0.1187  0.7215
B  0.0106  0.6813  0.9692
B  0.0476  0.3794  0.2208
B  0.2532  0.5874  0.4819
B  0.3160  0.9652  0.7289
B  0.5184  0.1752  0.9690
B  0.5466  0.8920  0.2166
B  0.7644  0.0968  0.4702
B  0.7933  0.4604  0.7263
O  0.0255  0.5982  0.4373
O  0.0438  0.4518  0.7546
O  0.1306  0.7842  0.0091
O  0.1643  0.5764  0.9263
O  0.1816  0.0919  0.7315
O  0.2371  0.8615  0.6757
O  0.2619  0.1750  0.9574
O  0.3140  0.4056  0.1914
O  0.3188  0.7040  0.5263
O  0.3884  0.9844  0.2735
O  0.4107  0.4668  0.4883
O  0.4233  0.8019  0.1674
O  0.5240  0.1035  0.4374
O  0.5364  0.9327  0.7807
O  0.6235  0.2837  0.0065
O  0.6302  0.5717  0.7452
O  0.6763  0.0599  0.9416
O  0.7105  0.3512  0.6816
O  0.7482  0.6814  0.9737
O  0.8144  0.8957  0.2052
O  0.8326  0.2028  0.5197
O  0.8867  0.4722  0.2754
O  0.9332  0.9878  0.4506
O  0.9339  0.2650  0.1888

Principal peaks in the range 2θ from 5° to 70°, in order of rising 2θ:
hkl 1 1 1, 19.5°, I 29.6
hkl 1 -1 0, 19.6°, I 49.7
hkl 0 2 2, 21.5°, I 100.0
hkl 0 2 -1, 26.0°, I 45.6
hkl 0 2 3, 26.5°, I 33.6
hkl 1 3 2, 33.9°, I 19.2
hkl 2 0 1, 34.2°, I 25.4
hkl -1 3 1, 34.3°, I 21.7
hkl 0 0 4, 35.4°, I 65.7
hkl 2 2 1, 40.3°, I 18.1
hkl -2 2 1, 40.9°, I 16.4
hkl 0 2 6, 49.5°, I 19.5

=====

3.
Computed XRD peak list of LiFe2B2O6 for CuKα, from DFT lattice parameters and positions (GGA+U).
Kinematic intensities with the Lorentz-polarization factor, no thermal factor.

Structure:
a = 5.2862 Å, b = 9.0893 Å, c = 10.0735 Å
α = 89.26°, β = 89.01°, γ = 89.73°
Fractional coordinates of all 44 atoms:
Li  0.0000  0.0000  0.0000
Li  0.0099  0.9743  0.5062
Li  0.4930  0.4983  0.9859
Li  0.8052  0.4791  0.2509
Fe  0.3119  0.3143  0.2199
Fe  0.3238  0.6545  0.7114
Fe  0.4917  0.8326  0.9672
Fe  0.4973  0.1525  0.4714
Fe  0.8120  0.1562  0.7181
Fe  0.8120  0.8220  0.2215
Fe  0.9929  0.3348  0.9586
Fe  0.9940  0.6354  0.4758
B  0.3182  0.6505  0.2154
B  0.3198  0.3217  0.7180
B  0.4878  0.1576  0.9676
B  0.4918  0.8233  0.4678
B  0.8170  0.1586  0.2120
B  0.8191  0.8159  0.7162
B  0.9845  0.3137  0.4608
B  0.9908  0.6599  0.9734
O  0.0627  0.6604  0.2528
O  0.0682  0.2997  0.7565
O  0.2330  0.3062  0.4133
O  0.2433  0.6583  0.9295
O  0.3489  0.0331  0.9682
O  0.3626  0.9518  0.4692
O  0.3764  0.6929  0.5124
O  0.3802  0.2908  0.0126
O  0.4240  0.4574  0.7246
O  0.4337  0.5144  0.2018
O  0.4595  0.7751  0.1859
O  0.4640  0.2010  0.6800
O  0.5753  0.1773  0.2607
O  0.5750  0.7946  0.7642
O  0.7436  0.1569  0.9238
O  0.7502  0.8181  0.4225
O  0.8478  0.4393  0.4462
O  0.8506  0.5343  0.9799
O  0.8810  0.7943  0.0154
O  0.8821  0.1828  0.5153
O  0.9131  0.9550  0.6996
O  0.9191  0.0222  0.1954
O  0.9544  0.2861  0.1777
O  0.9669  0.6950  0.6820

Principal peaks in the range 2θ from 5° to 70°, in order of rising 2θ:
hkl 1 -1 0, 19.4°, I 37.8
hkl 0 2 0, 19.5°, I 61.2
hkl 0 2 1, 21.3°, I 26.2
hkl -1 1 1, 21.5°, I 100.0
hkl 1 1 2, 26.0°, I 29.6
hkl 1 -1 2, 26.3°, I 32.6
hkl 2 0 0, 33.9°, I 25.6
hkl 1 3 0, 34.0°, I 30.7
hkl 1 -3 0, 34.2°, I 28.8
hkl 0 0 4, 35.7°, I 83.4
hkl 2 0 2, 38.2°, I 23.9
hkl 2 -2 1, 40.5°, I 33.0

=====

4.
Computed XRD peak list of Li2Fe3B3O9 for CuKα, from DFT lattice parameters and positions (GGA+U).
Kinematic intensities with the Lorentz-polarization factor, no thermal factor.

Structure:
a = 8.1618 Å, b = 6.1182 Å, c = 8.2139 Å
α = 90.00°, β = 119.75°, γ = 90.00°
Fractional coordinates of all 34 atoms:
Li  0.0000  0.0000  0.0000
Li  0.0038  0.5000  0.0031
Li  0.4312  0.0000  0.6669
Li  0.6967  0.5000  0.2670
Fe  0.0713  0.2515  0.3612
Fe  0.0713  0.7485  0.3612
Fe  0.3473  0.2513  0.9679
Fe  0.3473  0.7487  0.9679
Fe  0.7118  0.2486  0.6089
Fe  0.7118  0.7514  0.6089
B  0.0334  0.5000  0.6518
B  0.0419  0.0000  0.6511
B  0.3724  0.5000  0.3089
B  0.3735  0.0000  0.3102
B  0.7075  0.2490  0.9729
B  0.7075  0.7510  0.9729
O  0.2314  0.5000  0.7740
O  0.2450  0.0000  0.7760
O  0.2446  0.5000  0.3687
O  0.2483  0.0000  0.3760
O  0.2998  0.0000  0.1121
O  0.3002  0.5000  0.1101
O  0.5628  0.0000  0.4307
O  0.5656  0.5000  0.4200
O  0.6075  0.2333  0.7835
O  0.6077  0.2642  0.0739
O  0.6077  0.7358  0.0739
O  0.6075  0.7667  0.7835
O  0.9025  0.2516  0.0747
O  0.9025  0.7484  0.0747
O  0.9175  0.5000  0.7296
O  0.9277  0.0000  0.7301
O  0.9630  0.5000  0.4601
O  0.9778  0.0000  0.4639

Principal peaks in the range 2θ from 5° to 70°, in order of rising 2θ:
hkl 1 0 1, 21.6°, I 100.0
hkl 2 0 -1, 21.8°, I 52.7
hkl 1 2 -1, 31.9°, I 18.2
hkl 1 2 1, 36.6°, I 59.4
hkl 2 2 -1, 36.7°, I 31.7
hkl 3 0 -3, 38.1°, I 25.1
hkl 3 2 0, 48.7°, I 24.0
hkl 2 2 2, 53.8°, I 17.4
hkl 4 2 -2, 54.0°, I 11.5
hkl 1 2 -4, 55.3°, I 12.8
hkl 0 4 0, 60.5°, I 11.9
hkl 2 4 -1, 65.1°, I 15.7

=====

5.
Computed XRD peak list of LiFe2B2O6 for CuKα, from DFT lattice parameters and positions (GGA+U).
Kinematic intensities with the Lorentz-polarization factor, no thermal factor.

Structure:
a = 5.2519 Å, b = 9.1099 Å, c = 11.3142 Å
α = 66.88°, β = 76.85°, γ = 89.27°
Fractional coordinates of all 44 atoms:
Li  0.0000  0.0000  0.0000
Li  0.0444  0.0245  0.2627
Li  0.2815  0.2924  0.7409
Li  0.4967  0.4973  0.0143
Fe  0.0501  0.3825  0.2312
Fe  0.2611  0.5981  0.4720
Fe  0.2942  0.9588  0.7303
Fe  0.4973  0.1800  0.9857
Fe  0.5633  0.8666  0.2291
Fe  0.7552  0.1031  0.4760
Fe  0.7928  0.4707  0.7325
Fe  0.9919  0.6828  0.9779
B  0.0108  0.3500  0.9713
B  0.0584  0.7220  0.2224
B  0.2627  0.9259  0.4797
B  0.2939  0.6318  0.7310
B  0.5103  0.8474  0.9718
B  0.5414  0.2100  0.2290
B  0.7541  0.4241  0.4879
B  0.7928  0.1399  0.7281
O  0.0220  0.9645  0.4561
O  0.0464  0.1194  0.7391
O  0.1157  0.4526  0.0130
O  0.1333  0.2189  0.9616
O  0.1541  0.7465  0.7624
O  0.1696  0.5255  0.6939
O  0.2719  0.6886  0.2826
O  0.2753  0.8847  0.9264
O  0.3893  0.0129  0.5321
O  0.3910  0.8079  0.4496
O  0.4294  0.3496  0.2097
O  0.4399  0.0946  0.1951
O  0.4924  0.4357  0.4979
O  0.5470  0.6152  0.7389
O  0.6163  0.9532  0.0126
O  0.6200  0.7111  0.9752
O  0.6522  0.2533  0.7638
O  0.6641  0.0494  0.6804
O  0.7681  0.3789  0.9343
O  0.7718  0.1794  0.2777
O  0.8867  0.3175  0.4419
O  0.8922  0.5159  0.5319
O  0.9515  0.8679  0.2024
O  0.9689  0.6159  0.1805

Principal peaks in the range 2θ from 5° to 70°, in order of rising 2θ:
hkl 0 2 1, 19.5°, I 29.7
hkl 1 -1 0, 19.6°, I 49.2
hkl 1 1 2, 21.5°, I 100.0
hkl 1 1 -1, 26.1°, I 27.2
hkl 0 2 -1, 26.2°, I 18.7
hkl 1 3 2, 33.9°, I 20.1
hkl 2 0 1, 34.1°, I 20.2
hkl -1 3 1, 34.3°, I 26.9
hkl 0 0 4, 35.6°, I 66.1
hkl 0 4 1, 40.5°, I 17.9
hkl 2 -2 1, 40.9°, I 20.2
hkl 1 1 6, 49.7°, I 18.8